No. 1
Diffraction record for TiNbOsRu. The powder diffraction line list is calculated, not measured: it uses DFT lattice parameters and positions (PBE) and Cu Kα, 1.54184 Å.
No peak broadening, texture or thermal motion is included.

```
TiNbOsRu
1.0
3.0894 0.0000 0.0000
0.0000 3.0894 0.0000
0.0000 0.0000 6.4583
Ti Nb Os Ru
1 1 1 1
Cartesian
0.0000 0.0000 0.0000
0.0000 0.0000 3.2306
1.5447 1.5447 1.5439
1.5447 1.5447 4.9681
```

Main lines, by intensity (2θ = 10–80°):
2θ/deg  I_rel
40.41  100
41.33  48
74.73  32
72.85  16
59.88  16
28.90  14
13.71  13
32.12  13
57.04  8
27.62  7

=====

No. 2
Diffraction record for ScZn2Ga2Au2. The powder diffraction line list is calculated, not measured: it uses DFT lattice parameters and positions (PBE) and Cu Kα, 1.54184 Å.
No peak broadening, texture or thermal motion is included.

```
ScZn2Ga2Au2
1.0
2.2340 1.2898 7.2633
-2.2340 1.2898 7.2633
0.0000 -2.5795 7.2633
Sc Zn Ga Au
1 2 2 2
Cartesian
0.0000 0.0000 0.0000
0.0000 0.0000 2.9240
0.0000 0.0000 18.8658
0.0000 0.0000 8.5737
0.0000 0.0000 13.2161
0.0000 0.0000 5.5667
0.0000 0.0000 16.2232
```

Main lines, by intensity (2θ = 10–80°):
2θ/deg  I_rel
24.44  100
40.37  92
40.50  70
47.79  45
73.47  39
58.52  23
37.07  19
78.56  13
78.76  12
28.29  12

=====

Please write out number 1 again, unchanged.
Diffraction record for TiNbOsRu. The powder diffraction line list is calculated, not measured: it uses DFT lattice parameters and positions (PBE) and Cu Kα, 1.54184 Å.
No peak broadening, texture or thermal motion is included.

```
TiNbOsRu
1.0
3.0894 0.0000 0.0000
0.0000 3.0894 0.0000
0.0000 0.0000 6.4583
Ti Nb Os Ru
1 1 1 1
Cartesian
0.0000 0.0000 0.0000
0.0000 0.0000 3.2306
1.5447 1.5447 1.5439
1.5447 1.5447 4.9681
```

Main lines, by intensity (2θ = 10–80°):
2θ/deg  I_rel
40.41  100
41.33  48
74.73  32
72.85  16
59.88  16
28.90  14
13.71  13
32.12  13
57.04  8
27.62  7